(1)
Computed powder XRD pattern
Compound: KMn3O6
Radiation: Cu Kα, 1.54184 Å
Structure: a GGA+U-relaxed structure
Intensities are scaled so that the largest is 100.

Structure:
a = 13.313 Å, b = 5.803 Å, c = 15.855 Å
α = 90.00°, β = 92.23°, γ = 90.00°
Space group C2/c (No. 15)
Inequivalent atoms, fractional coordinates:
K  0.010  0.168  0.101 [8 per cell]
Mn  0.237  0.376  0.919 [8 per cell]
Mn  0.243  0.124  0.419 [8 per cell]
Mn  0.250  0.123  0.750 [8 per cell]
O  0.163  0.122  0.874 [8 per cell]
O  0.165  0.371  0.373 [8 per cell]
O  0.176  0.370  0.030 [8 per cell]
O  0.177  0.123  0.528 [8 per cell]
O  0.184  0.377  0.685 [8 per cell]
O  0.185  0.125  0.184 [8 per cell]

Top 12 peaks for 10 to 90 degrees two-theta, in order of falling intensity:
2theta	intensity	h k l
13.31	100	2 0 0
45.30	18	4 2 3
26.81	15	4 0 0
38.12	12	2 2 3
35.29	11	0 2 3
42.90	10	4 0 -6
36.11	7	2 0 -6
33.95	7	0 0 6
61.63	6	0 2 9
55.49	5	6 2 3
44.44	5	4 2 -3
66.62	4	8 2 -3

(2)
Computed powder XRD pattern
Compound: Li2NiGe3O8
Radiation: Cu Kα, 1.54184 Å
Structure: a GGA+U-relaxed structure
Intensities are scaled so that the largest is 100.

Structure:
a = 8.305 Å, b = 8.305 Å, c = 8.305 Å
α = 90.00°, β = 90.00°, γ = 90.00°
Space group P4_332 (No. 212)
Inequivalent atoms, fractional coordinates:
Li  0.003  0.003  0.003 [8 per cell]
Ni  0.125  0.875  0.375 [4 per cell]
Ge  0.123  0.127  0.625 [12 per cell]
O  0.100  0.126  0.393 [24 per cell]
O  0.116  0.616  0.884 [8 per cell]

Top 12 peaks for 10 to 90 degrees two-theta, in order of falling intensity:
2theta	intensity	h k l
18.50	100	1 1 1
43.59	52	4 0 0
35.86	51	3 1 1
63.35	32	4 4 0
57.67	21	5 1 1
37.51	19	2 2 2
66.62	16	5 3 1
47.73	14	3 3 1
76.01	11	6 2 2
80.05	9	4 4 4
83.04	9	5 5 1
74.99	6	5 3 3

(3)
Computed powder XRD pattern
Compound: SrCoO3
Radiation: Cu Kα, 1.54184 Å
Structure: a GGA+U-relaxed structure
Intensities are scaled so that the largest is 100.

Structure:
a = 4.924 Å, b = 5.521 Å, c = 9.692 Å
α = 90.04°, β = 94.70°, γ = 90.01°
Space group P1 (No. 1)
Inequivalent atoms, fractional coordinates:
Sr  0.000  0.000  0.000 [1 per cell]
Sr  0.040  0.500  0.304 [1 per cell]
Sr  0.491  0.500  0.001 [1 per cell]
Sr  0.549  0.000  0.303 [1 per cell]
Co  0.017  0.500  0.655 [1 per cell]
Co  0.022  0.001  0.649 [1 per cell]
Co  0.520  0.250  0.652 [1 per cell]
Co  0.520  0.749  0.652 [1 per cell]
O  0.000  0.500  0.046 [1 per cell]
O  0.041  0.000  0.258 [1 per cell]
O  0.205  0.751  0.754 [1 per cell]
O  0.206  0.250  0.755 [1 per cell]
O  0.329  0.500  0.553 [1 per cell]
O  0.339  0.000  0.550 [1 per cell]
O  0.506  0.000  0.045 [1 per cell]
O  0.534  0.500  0.258 [1 per cell]
O  0.700  0.500  0.754 [1 per cell]
O  0.709  0.000  0.750 [1 per cell]
O  0.834  0.251  0.549 [1 per cell]
O  0.835  0.749  0.549 [1 per cell]

Top 12 peaks for 10 to 90 degrees two-theta, in order of falling intensity:
2theta	intensity	h k l
27.71	100	0 0 3
26.52	48	1 1 1
36.62	45	2 0 0
29.67	42	1 1 -2
44.55	36	2 0 -3
32.44	36	0 2 0
25.44	34	-1 1 1
18.37	33	0 0 2
31.52	27	1 -1 2
43.17	25	0 2 3
33.77	24	0 2 -1
42.65	23	1 2 2

(4)
Computed powder XRD pattern
Compound: LiCo2OF3
Radiation: Cu Kα, 1.54184 Å
Structure: a GGA+U-relaxed structure
Intensities are scaled so that the largest is 100.

Structure:
a = 5.921 Å, b = 12.434 Å, c = 8.701 Å
α = 90.00°, β = 90.00°, γ = 90.00°
Space group Imm2 (No. 44)
Inequivalent atoms, fractional coordinates:
Li  0.000  0.132  0.000 [4 per cell]
Li  0.000  0.366  0.713 [4 per cell]
Co  0.000  0.000  0.334 [2 per cell]
Co  0.000  0.247  0.378 [4 per cell]
Co  0.000  0.500  0.378 [2 per cell]
Co  0.240  0.118  0.613 [8 per cell]
O  0.000  0.000  0.568 [2 per cell]
O  0.000  0.229  0.600 [4 per cell]
O  0.000  0.500  0.144 [2 per cell]
F  0.000  0.000  0.106 [2 per cell]
F  0.000  0.263  0.134 [4 per cell]
F  0.000  0.500  0.604 [2 per cell]
F  0.239  0.372  0.366 [8 per cell]
F  0.243  0.124  0.353 [8 per cell]

Top 12 peaks for 10 to 90 degrees two-theta, in order of falling intensity:
2theta	intensity	h k l
18.12	100	1 0 1
42.15	91	2 4 0
12.42	80	0 1 1
60.65	51	2 4 4
41.51	43	0 0 4
34.17	41	1 4 1
32.75	28	2 1 1
23.78	25	0 3 1
31.68	22	0 1 3
62.76	19	4 0 0
59.47	14	0 8 0
34.43	13	1 0 3